1.
# SbP5O15
Theoretical X-ray diffraction stick pattern, Cu Kα (weighted mean of Kα1 and Kα2). Input: the GGA-PBE geometry in the Materials Project.
No peak broadening, texture or thermal motion is included.

Top 10 peaks for 2θ from 5° to 70°, low angle first:
d (Å)  I_rel
8.497  100
7.010  50
5.407  79
5.128  38
4.249  68
4.139  57
3.967  59
3.514  69
2.893  35
2.833  48

Cell lengths 5.222, 14.019, 8.654 Å; angles 90.00, 100.92, 90.00 degrees
Fractional coordinates of all 42 atoms:
Sb 0.000 0.000 0.000
Sb 0.000 0.500 0.000
P 0.040 0.250 0.519
P 0.132 0.584 0.665
P 0.132 0.916 0.665
P 0.482 0.644 0.970
P 0.482 0.856 0.970
P 0.518 0.144 0.030
P 0.518 0.356 0.030
P 0.868 0.084 0.335
P 0.868 0.416 0.335
P 0.960 0.750 0.481
O 0.011 0.514 0.778
O 0.011 0.986 0.778
O 0.081 0.161 0.385
O 0.081 0.339 0.385
O 0.227 0.120 0.003
O 0.227 0.380 0.003
O 0.240 0.750 0.472
O 0.265 0.533 0.556
O 0.265 0.967 0.556
O 0.269 0.250 0.647
O 0.329 0.580 0.067
O 0.329 0.920 0.067
O 0.357 0.644 0.795
O 0.357 0.856 0.795
O 0.459 0.750 0.029
O 0.541 0.250 0.971
O 0.643 0.144 0.205
O 0.643 0.356 0.205
O 0.671 0.080 0.933
O 0.671 0.420 0.933
O 0.731 0.750 0.353
O 0.735 0.033 0.444
O 0.735 0.467 0.444
O 0.760 0.250 0.528
O 0.773 0.620 0.997
O 0.773 0.880 0.997
O 0.919 0.661 0.615
O 0.919 0.839 0.615
O 0.989 0.014 0.222
O 0.989 0.486 0.222



2.
# SbPO4
Theoretical X-ray diffraction stick pattern, Cu Kα (weighted mean of Kα1 and Kα2). Input: the GGA-PBE geometry in the Materials Project.
No peak broadening, texture or thermal motion is included.

Top 10 peaks for 2θ from 5° to 70°, low angle first:
d (Å)  I_rel
7.914  100
5.092  28
4.034  36
3.988  23
3.958  19
3.442  28
3.048  28
3.032  18
2.995  42
2.683  49

Cell lengths 9.653, 9.653, 18.145 Å; angles 117.97, 117.97, 32.33 degrees
Fractional coordinates of all 48 atoms:
Sb 0.000 0.500 0.000
Sb 0.134 0.652 0.498
Sb 0.225 0.775 0.750
Sb 0.348 0.866 0.002
Sb 0.500 0.000 0.500
Sb 0.652 0.134 0.998
Sb 0.775 0.225 0.250
Sb 0.866 0.348 0.502
P 0.025 0.569 0.639
P 0.207 0.781 0.386
P 0.219 0.793 0.114
P 0.431 0.975 0.861
P 0.569 0.025 0.139
P 0.781 0.207 0.886
P 0.793 0.219 0.614
P 0.975 0.431 0.361
O 0.040 0.788 0.044
O 0.047 0.896 0.303
O 0.048 0.823 0.418
O 0.102 0.538 0.727
O 0.104 0.953 0.197
O 0.120 0.626 0.622
O 0.151 0.307 0.569
O 0.177 0.952 0.082
O 0.212 0.960 0.456
O 0.224 0.275 0.900
O 0.275 0.224 0.400
O 0.307 0.151 0.069
O 0.374 0.880 0.878
O 0.462 0.898 0.773
O 0.489 0.502 0.379
O 0.498 0.511 0.121
O 0.502 0.489 0.879
O 0.511 0.498 0.621
O 0.538 0.102 0.227
O 0.626 0.120 0.122
O 0.693 0.849 0.931
O 0.725 0.776 0.600
O 0.776 0.725 0.100
O 0.788 0.040 0.544
O 0.823 0.048 0.918
O 0.849 0.693 0.431
O 0.880 0.374 0.378
O 0.896 0.047 0.803
O 0.898 0.462 0.273
O 0.952 0.177 0.582
O 0.953 0.104 0.697
O 0.960 0.212 0.956



3.
# SbP2O7
Theoretical X-ray diffraction stick pattern, Cu Kα (weighted mean of Kα1 and Kα2). Input: the GGA-PBE geometry in the Materials Project.
No peak broadening, texture or thermal motion is included.

Top 10 peaks for 2θ from 5° to 70°, low angle first:
d (Å)  I_rel
6.218  56
4.104  100
4.022  62
3.246  9
2.897  29
2.849  11
2.641  14
2.604  17
2.011  9
1.937  9

Cell lengths 8.980, 5.282, 13.884 Å; angles 90.00, 116.40, 90.00 degrees
Fractional coordinates of all 40 atoms:
Sb 0.231 0.239 0.472
Sb 0.231 0.261 0.972
Sb 0.769 0.739 0.028
Sb 0.769 0.761 0.528
P 0.192 0.735 0.621
P 0.192 0.765 0.121
P 0.327 0.749 0.859
P 0.327 0.751 0.359
P 0.673 0.249 0.641
P 0.673 0.251 0.141
P 0.808 0.235 0.879
P 0.808 0.265 0.379
O 0.027 0.665 0.114
O 0.027 0.835 0.614
O 0.188 0.049 0.095
O 0.188 0.451 0.595
O 0.211 0.545 0.366
O 0.211 0.955 0.866
O 0.257 0.019 0.356
O 0.257 0.481 0.856
O 0.260 0.611 0.056
O 0.260 0.889 0.556
O 0.329 0.722 0.244
O 0.329 0.778 0.744
O 0.494 0.217 0.058
O 0.494 0.283 0.558
O 0.506 0.717 0.442
O 0.506 0.783 0.942
O 0.671 0.222 0.256
O 0.671 0.278 0.756
O 0.740 0.111 0.444
O 0.740 0.389 0.944
O 0.743 0.519 0.144
O 0.743 0.981 0.644
O 0.789 0.045 0.134
O 0.789 0.455 0.634
O 0.812 0.549 0.405
O 0.812 0.951 0.905
O 0.973 0.165 0.386
O 0.973 0.335 0.886



4.
# SbP2O7
Theoretical X-ray diffraction stick pattern, Cu Kα (weighted mean of Kα1 and Kα2). Input: the GGA-PBE geometry in the Materials Project.
No peak broadening, texture or thermal motion is included.

Top 10 peaks for 2θ from 5° to 70°, low angle first:
d (Å)  I_rel
5.311  100
4.187  42
3.468  14
3.211  12
3.133  49
3.064  23
2.656  11
2.439  9
2.021  9
1.395  9

Cell lengths 7.399, 8.488, 9.910 Å; angles 90.00, 110.37, 90.00 degrees
Fractional coordinates of all 40 atoms:
Sb 0.236 0.005 0.246
Sb 0.236 0.495 0.746
Sb 0.764 0.505 0.254
Sb 0.764 0.995 0.754
P 0.173 0.714 0.447
P 0.173 0.786 0.947
P 0.422 0.241 0.542
P 0.422 0.259 0.042
P 0.578 0.741 0.958
P 0.578 0.759 0.458
P 0.827 0.214 0.053
P 0.827 0.286 0.553
O 0.044 0.593 0.342
O 0.044 0.907 0.842
O 0.135 0.614 0.897
O 0.135 0.886 0.397
O 0.171 0.700 0.602
O 0.171 0.800 0.102
O 0.299 0.138 0.085
O 0.299 0.362 0.585
O 0.315 0.201 0.382
O 0.315 0.299 0.882
O 0.385 0.666 0.449
O 0.385 0.834 0.949
O 0.477 0.096 0.640
O 0.477 0.404 0.140
O 0.523 0.596 0.860
O 0.523 0.904 0.360
O 0.615 0.166 0.051
O 0.615 0.334 0.551
O 0.685 0.701 0.118
O 0.685 0.799 0.618
O 0.701 0.638 0.415
O 0.701 0.862 0.915
O 0.829 0.200 0.898
O 0.829 0.300 0.398
O 0.865 0.114 0.603
O 0.865 0.386 0.103
O 0.956 0.093 0.158
O 0.956 0.407 0.658



Question: Number 3 is which compound?
Answer: SbP2O7



Copy entry 3 word for word.
# SbP2O7
Theoretical X-ray diffraction stick pattern, Cu Kα (weighted mean of Kα1 and Kα2). Input: the GGA-PBE geometry in the Materials Project.
No peak broadening, texture or thermal motion is included.

Top 10 peaks for 2θ from 5° to 70°, low angle first:
d (Å)  I_rel
6.218  56
4.104  100
4.022  62
3.246  9
2.897  29
2.849  11
2.641  14
2.604  17
2.011  9
1.937  9

Cell lengths 8.980, 5.282, 13.884 Å; angles 90.00, 116.40, 90.00 degrees
Fractional coordinates of all 40 atoms:
Sb 0.231 0.239 0.472
Sb 0.231 0.261 0.972
Sb 0.769 0.739 0.028
Sb 0.769 0.761 0.528
P 0.192 0.735 0.621
P 0.192 0.765 0.121
P 0.327 0.749 0.859
P 0.327 0.751 0.359
P 0.673 0.249 0.641
P 0.673 0.251 0.141
P 0.808 0.235 0.879
P 0.808 0.265 0.379
O 0.027 0.665 0.114
O 0.027 0.835 0.614
O 0.188 0.049 0.095
O 0.188 0.451 0.595
O 0.211 0.545 0.366
O 0.211 0.955 0.866
O 0.257 0.019 0.356
O 0.257 0.481 0.856
O 0.260 0.611 0.056
O 0.260 0.889 0.556
O 0.329 0.722 0.244
O 0.329 0.778 0.744
O 0.494 0.217 0.058
O 0.494 0.283 0.558
O 0.506 0.717 0.442
O 0.506 0.783 0.942
O 0.671 0.222 0.256
O 0.671 0.278 0.756
O 0.740 0.111 0.444
O 0.740 0.389 0.944
O 0.743 0.519 0.144
O 0.743 0.981 0.644
O 0.789 0.045 0.134
O 0.789 0.455 0.634
O 0.812 0.549 0.405
O 0.812 0.951 0.905
O 0.973 0.165 0.386
O 0.973 0.335 0.886